No. 1
Computed XRD peak list of Tb3Pt for Cu Ka, from DFT lattice parameters and positions (PBE).

Top 8 peaks for 10° ≤ 2θ ≤ 80°, in order of falling intensity:
- 31.65°, I 100
- 34.30°, I 68
- 33.49°, I 64
- 31.34°, I 64
- 30.93°, I 60
- 30.23°, I 57
- 37.75°, I 47
- 35.59°, I 41

Atomic structure:
```
Tb3Pt
1.0
7.070 0.000 0.000
0.000 9.679 0.000
0.000 0.000 6.508
Tb Pt
12 4
Direct
0.029 0.250 0.135
0.180 0.061 0.677
0.180 0.439 0.677
0.320 0.561 0.177
0.320 0.939 0.177
0.471 0.750 0.635
0.529 0.250 0.365
0.680 0.061 0.823
0.680 0.439 0.823
0.820 0.561 0.323
0.820 0.939 0.323
0.971 0.750 0.865
0.112 0.750 0.443
0.388 0.250 0.943
0.612 0.750 0.057
0.888 0.250 0.557
```

=====

No. 2
Computed XRD peak list of SrGaBO4 for Cu Ka, from DFT lattice parameters and positions (PBE).

Top 8 peaks for 10° ≤ 2θ ≤ 80°, in order of falling intensity:
- 30.35°, I 100
- 22.83°, I 70
- 32.03°, I 58
- 11.36°, I 44
- 19.73°, I 43
- 27.46°, I 42
- 42.27°, I 38
- 44.70°, I 19

Atomic structure:
```
SrGaBO4
1.0
8.999 0.000 0.000
0.000 15.581 0.000
0.000 0.000 5.879
Sr Ga B O
8 8 8 32
Direct
0.116 0.150 0.108
0.116 0.350 0.608
0.384 0.150 0.608
0.384 0.350 0.108
0.616 0.650 0.892
0.616 0.850 0.392
0.884 0.650 0.392
0.884 0.850 0.892
0.239 0.551 0.132
0.239 0.949 0.632
0.261 0.551 0.632
0.261 0.949 0.132
0.739 0.051 0.868
0.739 0.449 0.368
0.761 0.051 0.368
0.761 0.449 0.868
0.019 0.643 0.872
0.019 0.857 0.372
0.481 0.643 0.372
0.481 0.857 0.872
0.519 0.143 0.128
0.519 0.357 0.628
0.981 0.143 0.628
0.981 0.357 0.128
0.072 0.618 0.086
0.072 0.882 0.586
0.095 0.622 0.672
0.095 0.878 0.172
0.111 0.189 0.643
0.111 0.311 0.143
0.225 0.020 0.885
0.225 0.480 0.385
0.275 0.020 0.385
0.275 0.480 0.885
0.389 0.189 0.143
0.389 0.311 0.643
0.405 0.622 0.172
0.405 0.878 0.672
0.428 0.618 0.586
0.428 0.882 0.086
0.572 0.118 0.914
0.572 0.382 0.414
0.595 0.122 0.328
0.595 0.378 0.828
0.611 0.689 0.357
0.611 0.811 0.857
0.725 0.520 0.115
0.725 0.980 0.615
0.775 0.520 0.615
0.775 0.980 0.115
0.889 0.689 0.857
0.889 0.811 0.357
0.905 0.122 0.828
0.905 0.378 0.328
0.928 0.118 0.414
0.928 0.382 0.914
```

=====

No. 3
Computed XRD peak list of VCoSi for Cu Ka, from DFT lattice parameters and positions (PBE).

Top 8 peaks for 10° ≤ 2θ ≤ 80°, in order of falling intensity:
- 45.93°, I 100
- 45.38°, I 42
- 38.41°, I 35
- 43.01°, I 33
- 43.21°, I 27
- 46.66°, I 20
- 50.99°, I 13
- 49.63°, I 13

Atomic structure:
```
VCoSi
1.0
7.347 0.000 0.000
0.000 2.382 4.038
0.000 -2.382 4.038
V Co Si
4 4 4
Direct
0.181 0.000 0.000
0.315 0.668 0.668
0.685 0.668 0.668
0.819 0.000 0.000
0.242 0.333 0.333
0.500 0.168 0.679
0.500 0.679 0.168
0.758 0.333 0.333
0.000 0.505 0.505
0.000 0.506 0.994
0.000 0.994 0.506
0.500 0.167 0.167
```